1.
Structure and theoretical X-ray diffraction stick pattern of Fe5O3F7 (a PBE+U-relaxed structure; Cu Kα (λ = 1.5418 Å)).
Peak positions follow from Bragg's law for the DFT cell and can differ from measured ones.

Cell and atoms:
```
Fe5O3F7
1.0
4.7836 0.0000 0.0000
0.0378 4.7844 0.0000
0.0445 0.0148 15.7276
Fe O F
10 6 14
Direct
0.0000 0.0000 0.0000 Fe
0.0028 0.9990 0.8026 Fe
0.0258 0.9731 0.6035 Fe
0.0453 0.0123 0.1956 Fe
0.0592 0.9969 0.4079 Fe
0.4898 0.5057 0.4952 Fe
0.5018 0.4546 0.3018 Fe
0.5392 0.4618 0.9030 Fe
0.5471 0.4511 0.1084 Fe
0.5511 0.4499 0.7000 Fe
0.1959 0.8057 0.5043 O
0.3228 0.2832 0.3952 O
0.3279 0.2786 0.2086 O
0.8410 0.1604 0.9018 O
0.8447 0.1625 0.1016 O
0.8462 0.1516 0.7003 O
0.2213 0.7783 0.9025 F
0.2221 0.7870 0.3017 F
0.2306 0.7667 0.7029 F
0.2339 0.7772 0.1013 F
0.3133 0.2759 0.6000 F
0.3249 0.2661 0.0013 F
0.3269 0.2605 0.8020 F
0.7224 0.6862 0.5985 F
0.7302 0.6934 0.3916 F
0.7369 0.6731 0.8035 F
0.7380 0.6760 0.0044 F
0.7400 0.6848 0.2124 F
0.8174 0.1911 0.5016 F
0.8323 0.1745 0.3021 F
```

Peak list (8 most intense, 2θ from 5° to 70°, in order of rising 2θ)
26.24°, intensity 87
26.45°, intensity 92
34.11°, intensity 100
39.12°, intensity 18
51.49°, intensity 27
51.62°, intensity 27
51.77°, intensity 41
65.57°, intensity 24


2.
Structure and theoretical X-ray diffraction stick pattern of SrFePO4F2 (a PBE+U-relaxed structure; Cu Kα (λ = 1.5418 Å)).
Peak positions follow from Bragg's law for the DFT cell and can differ from measured ones.

Cell and atoms:
```
SrFePO4F2
1.0
5.2664 0.0000 0.0000
0.0000 12.4417 0.0000
-3.6267 0.0000 6.9493
Sr Fe P O F
4 4 4 16 8
Direct
0.1455 0.2062 0.1875 Sr
0.1455 0.2938 0.6875 Sr
0.8545 0.7062 0.3125 Sr
0.8545 0.7938 0.8125 Sr
0.0000 0.0000 0.5000 Fe
0.0000 0.5000 0.0000 Fe
0.5000 0.0000 0.0000 Fe
0.5000 0.5000 0.5000 Fe
0.3704 0.6148 0.8048 P
0.3704 0.8852 0.3048 P
0.6296 0.1148 0.6952 P
0.6296 0.3852 0.1952 P
0.2239 0.6006 0.9353 O
0.2239 0.8994 0.4353 O
0.2627 0.7184 0.6886 O
0.2627 0.7816 0.1886 O
0.2958 0.1228 0.5578 O
0.2958 0.3772 0.0578 O
0.3180 0.5151 0.6718 O
0.3180 0.9849 0.1718 O
0.6820 0.0151 0.8282 O
0.6820 0.4849 0.3282 O
0.7042 0.6228 0.9422 O
0.7042 0.8772 0.4422 O
0.7373 0.2184 0.8114 O
0.7373 0.2816 0.3114 O
0.7761 0.1006 0.5647 O
0.7761 0.3994 0.0647 O
0.1600 0.5594 0.2718 F
0.1600 0.9406 0.7718 F
0.3310 0.1447 0.9492 F
0.3310 0.3553 0.4492 F
0.6690 0.6447 0.5508 F
0.6690 0.8553 0.0508 F
0.8400 0.0594 0.2282 F
0.8400 0.4406 0.7282 F
```

Peak list (8 most intense, 2θ from 5° to 70°, in order of rising 2θ)
27.67°, intensity 100
28.44°, intensity 42
28.77°, intensity 32
29.44°, intensity 47
31.10°, intensity 35
32.25°, intensity 32
35.12°, intensity 31
45.93°, intensity 35


3.
Structure and theoretical X-ray diffraction stick pattern of Sr2Fe2P3O12F2 (a PBE+U-relaxed structure; Cu Kα (λ = 1.5418 Å)).
Peak positions follow from Bragg's law for the DFT cell and can differ from measured ones.

Cell and atoms:
```
Sr2Fe2P3O12F2
1.0
8.2146 0.0000 0.0000
-0.0132 8.8656 0.0000
-3.9036 -1.9254 7.8575
Sr Fe P O F
4 4 6 24 4
Direct
0.1078 0.2987 0.4198 Sr
0.3019 0.8024 0.4280 Sr
0.6981 0.1976 0.5720 Sr
0.8922 0.7013 0.5802 Sr
0.1722 0.4283 0.8353 Fe
0.3307 0.0772 0.1631 Fe
0.6693 0.9228 0.8369 Fe
0.8278 0.5717 0.1647 Fe
0.0503 0.7451 0.0013 P
0.2664 0.0533 0.7556 P
0.4998 0.4373 0.2419 P
0.5002 0.5627 0.7581 P
0.7336 0.9467 0.2444 P
0.9497 0.2549 0.9987 P
0.0178 0.6527 0.1150 O
0.1213 0.9243 0.6123 O
0.1246 0.2057 0.1299 O
0.1315 0.6494 0.8892 O
0.1859 0.8844 0.1329 O
0.2040 0.2121 0.7197 O
0.2918 0.0396 0.9311 O
0.3058 0.4920 0.7096 O
0.3733 0.4321 0.0548 O
0.4241 0.5407 0.3552 O
0.4444 0.0314 0.7360 O
0.4862 0.7280 0.7254 O
0.5138 0.2720 0.2746 O
0.5556 0.9686 0.2640 O
0.5759 0.4593 0.6448 O
0.6267 0.5679 0.9452 O
0.6942 0.5080 0.2904 O
0.7082 0.9604 0.0689 O
0.7960 0.7879 0.2803 O
0.8141 0.1156 0.8671 O
0.8685 0.3506 0.1108 O
0.8754 0.7943 0.8701 O
0.8787 0.0757 0.3877 O
0.9822 0.3473 0.8850 O
0.0534 0.5897 0.4007 F
0.3494 0.1130 0.4110 F
0.6506 0.8870 0.5890 F
0.9466 0.4103 0.5993 F
```

Peak list (8 most intense, 2θ from 5° to 70°, in order of rising 2θ)
22.81°, intensity 60
24.01°, intensity 100
27.91°, intensity 32
29.64°, intensity 43
30.17°, intensity 85
32.24°, intensity 58
34.37°, intensity 36
41.97°, intensity 36


4.
Structure and theoretical X-ray diffraction stick pattern of VFeP2O8F2 (a PBE+U-relaxed structure; Cu Kα (λ = 1.5418 Å)).
Peak positions follow from Bragg's law for the DFT cell and can differ from measured ones.

Cell and atoms:
```
VFeP2O8F2
1.0
5.1123 0.0000 0.0000
-0.4193 5.2634 0.0000
-2.1809 -2.6130 6.5511
V Fe P O F
1 1 2 8 2
Direct
0.0000 0.0000 0.0000 V
0.5000 0.5000 0.5000 Fe
0.4176 0.1152 0.7516 P
0.5824 0.8848 0.2484 P
0.2535 0.1344 0.9039 O
0.2629 0.8214 0.1174 O
0.3385 0.8250 0.5936 O
0.3551 0.3367 0.6655 O
0.6449 0.6633 0.3345 O
0.6615 0.1750 0.4064 O
0.7371 0.1786 0.8826 O
0.7465 0.8656 0.0961 O
0.1400 0.3104 0.2464 F
0.8600 0.6896 0.7536 F
```

Peak list (8 most intense, 2θ from 5° to 70°, in order of rising 2θ)
18.17°, intensity 43
18.53°, intensity 25
18.85°, intensity 32
23.32°, intensity 21
26.51°, intensity 100
27.24°, intensity 23
29.01°, intensity 52
37.79°, intensity 19


5.
Structure and theoretical X-ray diffraction stick pattern of Rb2FeOF5 (a PBE+U-relaxed structure; Cu Kα (λ = 1.5418 Å)).
Peak positions follow from Bragg's law for the DFT cell and can differ from measured ones.

Cell and atoms:
```
Rb2FeOF5
1.0
4.9642 -4.1448 0.0000
4.9642 4.1448 0.0000
0.0000 0.0000 8.0387
Rb Fe O F
4 2 2 10
Direct
0.9996 0.4587 0.2500 Rb
0.0004 0.5413 0.7500 Rb
0.4587 0.9996 0.7500 Rb
0.5413 0.0004 0.2500 Rb
0.5000 0.5000 0.0000 Fe
0.5000 0.5000 0.5000 Fe
0.0762 0.9238 0.2500 O
0.9238 0.0762 0.7500 O
0.2692 0.7308 0.0069 F
0.2692 0.7308 0.4931 F
0.3035 0.3035 0.0000 F
0.3035 0.3035 0.5000 F
0.4909 0.5091 0.7500 F
0.5091 0.4909 0.2500 F
0.6965 0.6965 0.0000 F
0.6965 0.6965 0.5000 F
0.7308 0.2692 0.5069 F
0.7308 0.2692 0.9931 F
```

Peak list (8 most intense, 2θ from 5° to 70°, in order of rising 2θ)
13.92°, intensity 85
26.22°, intensity 34
28.05°, intensity 79
28.58°, intensity 91
30.99°, intensity 74
36.00°, intensity 100
36.19°, intensity 53
45.13°, intensity 44


6.
Structure and theoretical X-ray diffraction stick pattern of Rb2FeOF5 (a PBE+U-relaxed structure; Cu Kα (λ = 1.5418 Å)).
Peak positions follow from Bragg's law for the DFT cell and can differ from measured ones.

Cell and atoms:
```
Rb2FeOF5
1.0
4.7261 -4.0714 0.0000
4.7261 4.0714 0.0000
0.0000 0.0000 8.6201
Rb Fe O F
4 2 2 10
Direct
0.2202 0.2202 0.0000 Rb
0.2202 0.2202 0.5000 Rb
0.7798 0.7798 0.0000 Rb
0.7798 0.7798 0.5000 Rb
0.2776 0.7224 0.7500 Fe
0.7224 0.2776 0.2500 Fe
0.4968 0.5032 0.2500 O
0.5032 0.4968 0.7500 O
0.0477 0.9523 0.7500 F
0.0688 0.5236 0.7500 F
0.2894 0.7106 0.5284 F
0.2894 0.7106 0.9716 F
0.4764 0.9312 0.7500 F
0.5236 0.0688 0.2500 F
0.7106 0.2894 0.0284 F
0.7106 0.2894 0.4716 F
0.9312 0.4764 0.2500 F
0.9523 0.0477 0.2500 F
```

Peak list (8 most intense, 2θ from 5° to 70°, in order of rising 2θ)
17.68°, intensity 100
28.02°, intensity 79
28.95°, intensity 72
30.20°, intensity 75
35.80°, intensity 97
38.08°, intensity 38
41.92°, intensity 42
44.51°, intensity 27